# 1
For TbPmZnIn, a crystal structure in Alexandria, relaxed with GGA-PBE gives the theoretical X-ray diffraction stick pattern in this record (Cu Kα (λ = 1.5418 Å)).
Kinematic intensities with the Lorentz-polarization factor, no thermal factor.

Crystal structure
```
data_TbPmZnIn
_cell_length_a 3.690
_cell_length_b 3.690
_cell_length_c 7.565
_cell_angle_alpha 90.00
_cell_angle_beta 90.00
_cell_angle_gamma 90.00
_symmetry_space_group_name_H-M 'P 4 m m'
_symmetry_Int_Tables_number 99
loop_
_symmetry_equiv_pos_as_xyz
'x,y,z'
'-y,x,z'
'-x,-y,z'
'y,-x,z'
'-x,y,z'
'y,x,z'
'x,-y,z'
'-y,-x,z'
loop_
_atom_site_label
_atom_site_type_symbol
_atom_site_fract_x
_atom_site_fract_y
_atom_site_fract_z
_atom_site_occupancy
Tb1 Tb 0.000 0.000 0.000 1
Pm1 Pm 0.000 0.000 0.539 1
Zn1 Zn 0.500 0.500 0.782 1
In1 In 0.500 0.500 0.262 1
```

Peak list (10 most intense, 2θ = 5–70°, low angle first)
23.52°, I = 3, hkl 0 0 2; 24.12°, I = 7, hkl 1 0 0; 26.88°, I = 5, hkl 1 0 1; 33.94°, I = 100, hkl 1 0 2; 34.37°, I = 50, hkl 1 1 0; 48.11°, I = 8, hkl 0 0 4; 49.40°, I = 18, hkl 2 0 0; 50.32°, I = 3, hkl 1 1 3; 60.46°, I = 16, hkl 1 1 4; 61.29°, I = 36, hkl 2 1 2

# 2
For PmInTc, a crystal structure in Alexandria, relaxed with GGA-PBE gives the theoretical X-ray diffraction stick pattern in this record (Cu Kα (λ = 1.5418 Å)).
Kinematic intensities with the Lorentz-polarization factor, no thermal factor.

Crystal structure
```
data_PmInTc
_cell_length_a 3.257
_cell_length_b 4.660
_cell_length_c 9.982
_cell_angle_alpha 101.63
_cell_angle_beta 90.28
_cell_angle_gamma 90.00
_symmetry_space_group_name_H-M 'P -1'
_symmetry_Int_Tables_number 2
loop_
_symmetry_equiv_pos_as_xyz
'x,y,z'
'-x,-y,-z'
loop_
_atom_site_label
_atom_site_type_symbol
_atom_site_fract_x
_atom_site_fract_y
_atom_site_fract_z
_atom_site_occupancy
Pm1 Pm 0.249 0.306 0.138 1
In1 In 0.247 0.906 0.365 1
Tc1 Tc 0.252 0.581 0.607 1
```

Peak list (10 most intense, 2θ = 5–70°, low angle first)
9.04°, I = 94, hkl 0 0 1; 28.89°, I = 61, hkl 1 0 1; 29.34°, I = 48, hkl 0 1 2; 36.07°, I = 60, hkl -1 1 1; 36.18°, I = 61, hkl 1 1 1; 36.77°, I = 100, hkl 0 0 4; 38.66°, I = 91, hkl 0 2 -1; 40.48°, I = 44, hkl -1 1 2; 41.22°, I = 57, hkl 1 1 -3; 41.38°, I = 55, hkl 1 -1 3